Starting from a DFT-relaxed cell (PBE, Alexandria), the powder diffraction line list of Cu4Cl2O was calculated for λ = 1.5418 Å (Cu Kα).
No peak broadening, texture or thermal motion is included.

```
data_Cu4Cl2O
_symmetry_space_group_name_H-M 'I 4/m m m'
_symmetry_Int_Tables_number 139
_symmetry_space_group_name_Hall '-I 4 2'
_cell_length_a 3.689
_cell_length_b 3.689
_cell_length_c 16.449
_cell_angle_alpha 90.00
_cell_angle_beta 90.00
_cell_angle_gamma 90.00
loop_
_atom_site_label
_atom_site_fract_x
_atom_site_fract_y
_atom_site_fract_z
Cu1 0.000 0.000 0.178
Cu2 0.000 0.500 0.000
Cl1 0.000 0.000 0.325
O1 0.000 0.000 0.000
```

Principal peaks in the range 2θ from 15° to 90°, in order of rising 2θ:
- 32.66°, I 66, (0 0 6)
- 36.12°, I 100, (1 1 2)
- 40.97°, I 36, (1 1 4)
- 49.41°, I 41, (2 0 0)
- 57.03°, I 36, (1 1 8)
- 60.50°, I 39, (2 0 6)